Entry 1:
Simulated powder X-ray diffraction pattern
Compound: Th2CrFe9
Radiation: copper Kα
Structure: a crystal structure in Alexandria, relaxed with GGA-PBE
Kinematic intensities with the Lorentz-polarization factor, no thermal factor.

Cell and atoms:
```
12
Lattice="2.513 1.451 8.239 -2.513 1.451 8.239 0.000 -2.902 8.239" Properties=species:S:1:pos:R:3 pbc="T T T"
Th 0.000 0.000 3.412
Th 0.000 0.000 21.304
Cr 0.000 0.000 0.000
Fe -1.251 -0.722 10.183
Fe 0.000 0.000 8.228
Fe 0.000 -1.444 14.532
Fe -1.251 0.722 14.532
Fe 0.000 0.000 12.358
Fe 1.251 -0.722 10.183
Fe 0.000 1.444 10.183
Fe 0.000 0.000 16.488
Fe 1.251 0.722 14.532
```

Top 10 peaks for 5 to 70 degrees two-theta, low angle first:
2θ/deg	d [Å]	I/Imax
10.74	8.239	52
25.03	3.558	46
32.66	2.742	55
35.69	2.516	100
37.42	2.404	25
41.66	2.168	34
42.11	2.146	81
44.12	2.053	26
45.43	1.997	33
64.16	1.452	26

Entry 2:
Simulated powder X-ray diffraction pattern
Compound: Ti6CrFe5
Radiation: copper Kα
Structure: a crystal structure in Alexandria, relaxed with GGA-PBE
Kinematic intensities with the Lorentz-polarization factor, no thermal factor.

Cell and atoms:
```
12
Lattice="-2.096 2.964 6.290 2.096 -2.964 6.290 2.096 2.964 -6.290" Properties=species:S:1:pos:R:3 pbc="T T T"
Ti 2.096 1.480 -2.102
Ti 0.000 1.477 0.000
Ti 2.096 1.480 2.102
Ti 0.000 1.484 4.188
Ti 0.000 4.452 0.000
Ti 0.000 1.484 8.391
Cr 0.000 0.000 6.290
Fe 2.096 0.000 0.000
Fe 0.000 0.000 2.102
Fe 2.096 0.000 4.185
Fe 0.000 2.964 2.105
Fe 0.000 0.000 10.478
```

Top 3 peaks for 5 to 70 degrees two-theta, low angle first:
2θ/deg	d [Å]	I/Imax
30.14	2.965	1
43.15	2.096	100
62.67	1.482	15

Entry 3:
Simulated powder X-ray diffraction pattern
Compound: TmCr2Fe10
Radiation: copper Kα
Structure: a crystal structure in Alexandria, relaxed with GGA-PBE
Kinematic intensities with the Lorentz-polarization factor, no thermal factor.

Cell and atoms:
```
13
Lattice="-2.331 4.152 4.199 2.331 -4.152 4.199 2.331 4.152 -4.199" Properties=species:S:1:pos:R:3 pbc="T T T"
Tm 0.000 0.000 0.000
Cr 0.000 0.000 3.092
Cr 0.000 0.000 5.306
Fe 1.165 2.076 -2.100
Fe 1.165 -2.076 2.100
Fe 2.331 1.841 0.000
Fe 2.331 0.000 1.919
Fe 0.000 2.971 0.000
Fe -1.165 2.076 2.100
Fe 1.165 2.076 2.100
Fe 0.000 5.332 0.000
Fe 0.000 4.152 2.280
Fe 0.000 2.311 4.199
```

Top 10 peaks for 5 to 70 degrees two-theta, low angle first:
2θ/deg	d [Å]	I/Imax
30.61	2.921	35
30.74	2.908	29
37.47	2.400	29
37.80	2.380	33
43.08	2.100	43
43.58	2.077	100
43.72	2.070	79
44.45	2.038	52
44.58	2.032	47
49.85	1.829	28

Entry 4:
Simulated powder X-ray diffraction pattern
Compound: V4CrFe
Radiation: copper Kα
Structure: a crystal structure in Alexandria, relaxed with GGA-PBE
Kinematic intensities with the Lorentz-polarization factor, no thermal factor.

Cell and atoms:
```
6
Lattice="2.909 0.000 0.000 0.000 2.909 0.000 0.000 0.000 8.812" Properties=species:S:1:pos:R:3 pbc="T T T"
V 0.000 0.000 1.430
V 0.000 0.000 7.382
V 1.455 1.455 2.968
V 1.455 1.455 5.844
Cr 0.000 0.000 4.406
Fe 1.455 1.455 0.000
```

Top 5 peaks for 5 to 70 degrees two-theta, low angle first:
2θ/deg	d [Å]	I/Imax
20.15	4.406	1
43.80	2.067	100
44.02	2.057	49
63.33	1.469	7
64.01	1.455	14

Entry 5:
Simulated powder X-ray diffraction pattern
Compound: V2Cr2Fe
Radiation: copper Kα
Structure: a crystal structure in Alexandria, relaxed with GGA-PBE
Kinematic intensities with the Lorentz-polarization factor, no thermal factor.

Cell and atoms:
```
5
Lattice="0.000 2.036 10.260 1.448 0.000 10.260 1.448 2.036 0.000" Properties=species:S:1:pos:R:3 pbc="T T T"
V 0.000 0.000 0.000
V 1.448 2.036 8.064
Cr 1.448 2.036 4.045
Cr 1.448 2.036 12.335
Fe 1.448 2.036 16.272
```

Top 8 peaks for 5 to 70 degrees two-theta, low angle first:
2θ/deg	d [Å]	I/Imax
8.62	10.260	4
44.13	2.052	24
44.27	2.046	100
44.51	2.036	25
49.59	1.838	1
53.59	1.710	1
64.32	1.448	7
64.48	1.445	14

Entry 6:
Simulated powder X-ray diffraction pattern
Compound: V3Cr2Fe
Radiation: copper Kα
Structure: a crystal structure in Alexandria, relaxed with GGA-PBE
Kinematic intensities with the Lorentz-polarization factor, no thermal factor.

Cell and atoms:
```
6
Lattice="2.891 0.000 0.000 0.000 2.891 0.000 0.000 0.000 8.700" Properties=species:S:1:pos:R:3 pbc="T T T"
V 0.000 0.000 0.000
V 0.000 0.000 2.894
V 0.000 0.000 5.806
Cr 1.446 1.446 1.473
Cr 1.446 1.446 7.228
Fe 1.446 1.446 4.350
```

Top 3 peaks for 5 to 70 degrees two-theta, low angle first:
2θ/deg	d [Å]	I/Imax
44.26	2.046	100
64.23	1.450	5
64.46	1.446	10